No. 1
Theoretical powder diffractogram
Compound: Fe4AgBr
Radiation: Cu Kα (λ = 1.5418 Å)
Structure: a structure optimized by DFT (PBE)
No peak broadening, texture or thermal motion is included.

The 10 most intense peaks (15° ≤ 2θ ≤ 90°), low angle first:
d = 4.137 Å, I = 3.0, hkl 1 1 1
d = 3.583 Å, I = 0.8, hkl 2 0 0
d = 2.533 Å, I = 46.5, hkl 2 2 0
d = 2.160 Å, I = 100.0, hkl 3 1 1
d = 2.068 Å, I = 24.8, hkl 2 2 2
d = 1.463 Å, I = 15.9, hkl 4 2 2
d = 1.379 Å, I = 28.9, hkl 3 3 3
d = 1.267 Å, I = 22.4, hkl 4 4 0
d = 1.133 Å, I = 7.0, hkl 6 2 0
d = 1.093 Å, I = 10.3, hkl 5 3 3

Structural model:
```
data_Fe4AgBr
_cell_length_a 7.1654
_cell_length_b 7.1654
_cell_length_c 7.1654
_cell_angle_alpha 90.00
_cell_angle_beta 90.00
_cell_angle_gamma 90.00
_space_group_name_H-M_alt 'F -4 3 m'
_space_group_IT_number 216
_space_group_name_Hall 'F -4 2 3'
loop_
_atom_site_label
_atom_site_fract_x
_atom_site_fract_y
_atom_site_fract_z
Fe1 0.1226 0.1226 0.1226
Ag1 0.2500 0.2500 0.7500
Br1 0.0000 0.0000 0.5000
```

No. 2
Theoretical powder diffractogram
Compound: Fe2AgI6Br2
Radiation: Cu Kα (λ = 1.5418 Å)
Structure: a structure optimized by DFT (PBE)
No peak broadening, texture or thermal motion is included.

The 10 most intense peaks (15° ≤ 2θ ≤ 90°), low angle first:
d = 5.320 Å, I = 40.6, hkl 1 0 1
d = 3.403 Å, I = 100.0, hkl 1 1 1
d = 3.367 Å, I = 24.3, hkl 0 0 3
d = 2.939 Å, I = 72.3, hkl 2 -1 2
d = 2.463 Å, I = 14.0, hkl 1 1 3
d = 2.086 Å, I = 42.4, hkl 3 0 0
d = 2.070 Å, I = 39.4, hkl 1 1 4
d = 1.779 Å, I = 15.3, hkl 4 -2 1
d = 1.773 Å, I = 22.7, hkl 3 0 3
d = 1.701 Å, I = 14.1, hkl 2 2 2

Structural model:
```
data_Fe2AgI6Br2
_cell_length_a 7.2278
_cell_length_b 7.2278
_cell_length_c 10.0998
_cell_angle_alpha 90.00
_cell_angle_beta 90.00
_cell_angle_gamma 120.00
_space_group_name_H-M_alt 'P -3'
_space_group_IT_number 147
loop_
_space_group_symop_operation_xyz
'x,y,z'
'-x,-y,-z'
'-y,x-y,z'
'y,-x+y,-z'
'-x+y,-x,z'
'x-y,x,-z'
loop_
_atom_site_label
_atom_site_fract_x
_atom_site_fract_y
_atom_site_fract_z
Fe1 0.3333 0.6667 0.2414
Ag1 0.0000 0.0000 0.5000
I1 0.0005 0.3324 0.6764
Br1 0.3333 0.6667 0.0146
```

No. 3
Theoretical powder diffractogram
Compound: RbFe2AgBr6
Radiation: Cu Kα (λ = 1.5418 Å)
Structure: a structure optimized by DFT (PBE)
No peak broadening, texture or thermal motion is included.

The 10 most intense peaks (15° ≤ 2θ ≤ 90°), low angle first:
d = 4.333 Å, I = 69.4, hkl 2 2 -1
d = 4.249 Å, I = 35.8, hkl 3 1 0
d = 3.680 Å, I = 45.7, hkl 2 0 -2
d = 3.579 Å, I = 33.7, hkl 2 2 1
d = 3.408 Å, I = 31.5, hkl 1 3 1
d = 3.141 Å, I = 63.7, hkl 1 1 2
d = 3.087 Å, I = 100.0, hkl 3 3 -1
d = 2.340 Å, I = 31.3, hkl 2 2 -3
d = 2.154 Å, I = 32.3, hkl 1 3 -3
d = 2.032 Å, I = 52.9, hkl 5 3 1

Structural model:
```
data_RbFe2AgBr6
_cell_length_a 14.1797
_cell_length_b 12.7760
_cell_length_c 7.5563
_cell_angle_alpha 90.00
_cell_angle_beta 107.58
_cell_angle_gamma 90.00
_space_group_name_H-M_alt 'C 1 2/c 1'
_space_group_IT_number 15
loop_
_space_group_symop_operation_xyz
'x,y,z'
'-x,-y,-z'
'-x,y,-z+1/2'
'x,-y,z+1/2'
'x+1/2,y+1/2,z'
'-x+1/2,-y+1/2,-z'
'-x+1/2,y+1/2,-z+1/2'
'x+1/2,-y+1/2,z+1/2'
loop_
_atom_site_label
_atom_site_fract_x
_atom_site_fract_y
_atom_site_fract_z
Rb1 0.0000 0.1916 0.2500
Fe1 0.2142 0.0914 0.7789
Ag1 0.0000 0.3963 0.7500
Br1 0.1082 0.4207 0.1286
Br2 0.1385 0.0300 0.0165
Br3 0.1520 0.2640 0.6834
```

No. 4
Theoretical powder diffractogram
Compound: GaAgBr
Radiation: Cu Kα (λ = 1.5418 Å)
Structure: a structure optimized by DFT (PBE)
No peak broadening, texture or thermal motion is included.

The 10 most intense peaks (15° ≤ 2θ ≤ 90°), low angle first:
d = 4.247 Å, I = 22.5, hkl 1 2 0
d = 3.862 Å, I = 36.8, hkl 0 3 0
d = 3.619 Å, I = 100.0, hkl 1 1 1
d = 3.183 Å, I = 24.9, hkl 1 2 1
d = 2.554 Å, I = 25.4, hkl 2 1 1
d = 2.404 Å, I = 33.9, hkl 0 0 2
d = 2.386 Å, I = 66.2, hkl 2 2 1
d = 2.317 Å, I = 30.7, hkl 0 5 0
d = 2.167 Å, I = 81.5, hkl 2 3 1
d = 2.041 Å, I = 34.3, hkl 0 3 2

Structural model:
```
data_GaAgBr
_cell_length_a 6.2439
_cell_length_b 11.5861
_cell_length_c 4.8090
_cell_angle_alpha 90.00
_cell_angle_beta 90.00
_cell_angle_gamma 90.00
_space_group_name_H-M_alt 'P c a 21'
_space_group_IT_number 29
loop_
_space_group_symop_operation_xyz
'x,y,z'
'-x,-y,z+1/2'
'-x+1/2,y,z+1/2'
'x+1/2,-y,z'
loop_
_atom_site_label
_atom_site_fract_x
_atom_site_fract_y
_atom_site_fract_z
Ga1 0.1266 0.1849 0.0000
Ag1 0.1185 0.0054 0.6375
Br1 0.0248 0.6378 0.5986
```

No. 5
Theoretical powder diffractogram
Compound: GaAg2Br6
Radiation: Cu Kα (λ = 1.5418 Å)
Structure: a structure optimized by DFT (PBE)
No peak broadening, texture or thermal motion is included.

The 10 most intense peaks (15° ≤ 2θ ≤ 90°), low angle first:
d = 4.773 Å, I = 62.6, hkl 2 2 0
d = 3.486 Å, I = 24.5, hkl 1 1 -2
d = 3.365 Å, I = 100.0, hkl 4 2 -1
d = 3.330 Å, I = 35.7, hkl 0 4 0
d = 2.946 Å, I = 15.4, hkl 0 2 2
d = 2.528 Å, I = 19.9, hkl 6 0 -2
d = 2.486 Å, I = 23.2, hkl 2 4 -2
d = 2.285 Å, I = 16.5, hkl 6 0 0
d = 2.073 Å, I = 25.3, hkl 5 3 -3
d = 2.023 Å, I = 19.9, hkl 5 5 -1

Structural model:
```
data_GaAg2Br6
_cell_length_a 15.6066
_cell_length_b 13.2978
_cell_length_c 7.4884
_cell_angle_alpha 90.00
_cell_angle_beta 118.54
_cell_angle_gamma 90.00
_space_group_name_H-M_alt 'C 1 2/c 1'
_space_group_IT_number 15
loop_
_space_group_symop_operation_xyz
'x,y,z'
'-x,-y,-z'
'-x,y,-z+1/2'
'x,-y,z+1/2'
'x+1/2,y+1/2,z'
'-x+1/2,-y+1/2,-z'
'-x+1/2,y+1/2,-z+1/2'
'x+1/2,-y+1/2,z+1/2'
loop_
_atom_site_label
_atom_site_fract_x
_atom_site_fract_y
_atom_site_fract_z
Ga1 0.0000 0.2430 0.2500
Ag1 0.2412 0.4456 0.4759
Br1 0.0915 0.3462 0.1443
Br2 0.0962 0.1394 0.5342
Br3 0.2382 0.3885 0.7984
```

No. 6
Theoretical powder diffractogram
Compound: Ga2Ag2Br7
Radiation: Cu Kα (λ = 1.5418 Å)
Structure: a structure optimized by DFT (PBE)
No peak broadening, texture or thermal motion is included.

The 10 most intense peaks (15° ≤ 2θ ≤ 90°), low angle first:
d = 4.950 Å, I = 40.9, hkl 2 0 -1
d = 4.249 Å, I = 100.0, hkl 0 2 1
d = 3.376 Å, I = 13.2, hkl 2 0 -2
d = 3.359 Å, I = 35.6, hkl 3 1 -1
d = 2.914 Å, I = 20.2, hkl 1 3 1
d = 2.900 Å, I = 32.4, hkl 2 2 -2
d = 2.458 Å, I = 15.8, hkl 3 3 0
d = 2.325 Å, I = 13.2, hkl 3 3 -2
d = 2.219 Å, I = 32.4, hkl 1 3 2
d = 1.904 Å, I = 23.2, hkl 3 5 -1

Structural model:
```
data_Ga2Ag2Br7
_cell_length_a 10.6187
_cell_length_b 11.3261
_cell_length_c 7.0191
_cell_angle_alpha 90.00
_cell_angle_beta 113.66
_cell_angle_gamma 90.00
_space_group_name_H-M_alt 'C 1 2/m 1'
_space_group_IT_number 12
loop_
_space_group_symop_operation_xyz
'x,y,z'
'-x,-y,-z'
'-x,y,-z'
'x,-y,z'
'x+1/2,y+1/2,z'
'-x+1/2,-y+1/2,-z'
'-x+1/2,y+1/2,-z'
'x+1/2,-y+1/2,z'
loop_
_atom_site_label
_atom_site_fract_x
_atom_site_fract_y
_atom_site_fract_z
Ga1 0.2051 0.0000 0.4000
Ag1 0.0000 0.3079 0.0000
Br1 0.0000 0.0000 0.5000
Br2 0.0786 0.5000 0.2809
Br3 0.2246 0.1720 0.2042
```

Number 1 is which compound?
Fe4AgBr